Structure and simulated X-ray diffraction stick pattern of SrCoSeO (the GGA+U geometry in OQMD; Cu Kα (weighted mean of Kα1 and Kα2)).
Intensities are scaled so that the largest is 100.

Largest 6 diffraction maxima, by intensity, 15° ≤ 2θ ≤ 90°:
d 2.984, I = 100.0, (0 0 2); d 3.092, I = 85.3, (2 0 0); d 3.019, I = 79.9, (0 3 0); d 2.123, I = 54.5, (0 3 2); d 2.147, I = 54.3, (2 0 2); d 1.750, I = 52.6, (2 3 2)

a = 6.183 Å, b = 9.058 Å, c = 5.968 Å
α = 90.00°, β = 90.00°, γ = 90.00°
Atoms (fractional coordinates):
Sr (0.001, 0.182, 0.000)
Sr (0.499, 0.182, 0.500)
Sr (0.501, 0.818, 0.000)
Sr (0.999, 0.818, 0.500)
Co (0.101, 0.568, 0.919)
Co (0.399, 0.568, 0.419)
Co (0.601, 0.432, 0.919)
Co (0.899, 0.432, 0.419)
Se (0.003, 0.167, 0.499)
Se (0.497, 0.167, 0.999)
Se (0.503, 0.833, 0.499)
Se (0.997, 0.833, 0.999)
O (0.109, 0.560, 0.573)
O (0.391, 0.560, 0.073)
O (0.609, 0.440, 0.573)
O (0.891, 0.440, 0.073)